# RbPuBr3
Theoretical XRD peak list, Cu Kα. Input: a crystal structure in Alexandria, relaxed with GGA-PBE.

Peak list (10 most intense, 5° ≤ 2θ ≤ 70°, sorted by position)
- (1 1 0), 6.947 Å, I = 100.0
- (3 0 0), 4.011 Å, I = 35.1
- (2 2 1), 3.108 Å, I = 49.9
- (2 0 2), 3.010 Å, I = 18.6
- (2 1 2), 2.762 Å, I = 44.7
- (4 1 0), 2.626 Å, I = 31.3
- (3 1 2), 2.408 Å, I = 23.1
- (3 2 2), 2.162 Å, I = 19.2
- (6 0 0), 2.006 Å, I = 29.6
- (1 1 4), 1.686 Å, I = 17.7

Atomic structure:
Cell lengths 13.8947, 13.8947, 6.9537 Å; angles 90.00, 90.00, 120.00 degrees
Space group P6_3cm (No. 185)
Unique sites:
Rb: 0.0000 0.3355 0.0000 x6
Pu: 0.0000 0.0000 0.3652 x2
Pu: 0.3333 0.6667 0.1559 x4
Br: 0.0000 0.1745 0.6159 x6
Br: 0.1625 0.4889 0.4052 x12

---

# BaSr3Si2
Theoretical XRD peak list, Cu Kα. Input: a crystal structure in Alexandria, relaxed with GGA-PBE.

Peak list (10 most intense, 5° ≤ 2θ ≤ 70°, sorted by position)
- (0 0 2), 4.184 Å, I = 13.0
- (1 2 1), 3.256 Å, I = 100.0
- (0 2 2), 3.163 Å, I = 12.5
- (1 1 2), 3.086 Å, I = 52.5
- (0 3 1), 3.006 Å, I = 20.9
- (1 3 0), 2.736 Å, I = 21.0
- (0 1 3), 2.680 Å, I = 18.1
- (2 0 0), 2.593 Å, I = 28.1
- (2 1 3), 1.864 Å, I = 12.2
- (1 4 3), 1.722 Å, I = 18.7

Atomic structure:
Cell lengths 5.186, 9.661, 8.370 Å; angles 90.00, 90.00, 90.00 degrees
Space group Pmc2_1 (No. 26)
Unique sites:
Ba: 0.000 0.077 0.000 x2
Sr: 0.000 0.331 0.626 x2
Sr: 0.500 0.176 0.332 x2
Sr: 0.500 0.425 0.954 x2
Si: 0.000 0.357 0.239 x2
Si: 0.500 0.150 0.721 x2

---

# Be2BiPb2O6
Theoretical XRD peak list, Cu Kα. Input: a crystal structure in Alexandria, relaxed with GGA-PBE.

Peak list (10 most intense, 5° ≤ 2θ ≤ 70°, sorted by position)
- (0 1 1), 3.963 Å, I = 100.0
- (1 0 2), 3.001 Å, I = 59.8
- (1 1 0), 2.639 Å, I = 35.2
- (2 0 1), 2.196 Å, I = 25.3
- (0 2 2), 1.981 Å, I = 16.9
- (1 1 3), 1.871 Å, I = 30.7
- (0 1 4), 1.824 Å, I = 14.0
- (3 -2 1), 1.688 Å, I = 21.3
- (3 -1 2), 1.584 Å, I = 17.4
- (3 0 0), 1.523 Å, I = 9.6

Atomic structure:
Cell lengths 5.2774, 5.2774, 7.9558 Å; angles 90.00, 90.00, 120.00 degrees
Space group P-3 (No. 147)
Unique sites:
Be: 0.3333 0.6667 0.3364 x2
Bi: 0.0000 0.0000 0.5000 x1
Pb: 0.3333 0.6667 0.8185 x2
O: 0.0439 0.6756 0.3292 x6